Record 1
# Ti8BeSn2
Computed powder diffraction line list, Cu Ka. Input: a crystal structure in Alexandria, relaxed with GGA-PBE.
Kinematic intensities with the Lorentz-polarization factor, no thermal factor.

Cell and atoms:
a b c (Å): 7.972 7.972 5.305
angles (deg): 91.38 91.38 34.04
Atoms (fractional coordinates):
Ti  0.044  0.044  0.271
Ti  0.233  0.233  0.340
Ti  0.343  0.343  0.876
Ti  0.420  0.420  0.412
Ti  0.580  0.580  0.588
Ti  0.657  0.657  0.124
Ti  0.767  0.767  0.660
Ti  0.956  0.956  0.729
Be  0.500  0.500  0.000
Sn  0.153  0.153  0.813
Sn  0.847  0.847  0.187

Main lines, by angle (2θ from 5° to 70°):
20.16°, I 25
26.20°, I 25
38.59°, I 61
38.88°, I 79
39.40°, I 100
39.51°, I 98

***

Record 2
# BeV2Sn
Computed powder diffraction line list, Cu Ka. Input: a crystal structure in Alexandria, relaxed with GGA-PBE.
Kinematic intensities with the Lorentz-polarization factor, no thermal factor.

Cell and atoms:
a b c (Å): 4.085 4.085 12.673
angles (deg): 90.00 90.00 120.00
Atoms (fractional coordinates):
Be  0.000  0.000  0.000
Be  0.333  0.667  0.667
Be  0.667  0.333  0.333
V  0.000  0.000  0.284
V  0.000  0.000  0.716
V  0.333  0.667  0.383
V  0.333  0.667  0.951
V  0.667  0.333  0.049
V  0.667  0.333  0.617
Sn  0.000  0.000  0.500
Sn  0.333  0.667  0.167
Sn  0.667  0.333  0.833

Main lines, by angle (2θ from 5° to 70°):
26.15°, I 100
38.13°, I 75
43.95°, I 55
44.35°, I 67
59.89°, I 20
64.21°, I 17

***

Record 3
# SrBe3
Computed powder diffraction line list, Cu Ka. Input: a crystal structure in Alexandria, relaxed with GGA-PBE.
Kinematic intensities with the Lorentz-polarization factor, no thermal factor.

Cell and atoms:
a b c (Å): 6.571 3.795 5.723
angles (deg): 90.00 109.03 90.00
Atoms (fractional coordinates):
Sr  0.000  0.000  0.000
Sr  0.500  0.500  0.000
Be  0.000  0.500  0.500
Be  0.180  0.000  0.538
Be  0.320  0.500  0.462
Be  0.500  0.000  0.500
Be  0.680  0.500  0.538
Be  0.820  0.000  0.462

Main lines, by angle (2θ from 5° to 70°):
16.38°, I 96
27.54°, I 100
28.08°, I 48
29.64°, I 81
34.62°, I 61
48.00°, I 47

***

Record 4
# Sr3Be
Computed powder diffraction line list, Cu Ka. Input: a crystal structure in Alexandria, relaxed with GGA-PBE.
Kinematic intensities with the Lorentz-polarization factor, no thermal factor.

Cell and atoms:
a b c (Å): 4.226 4.226 11.195
angles (deg): 90.00 90.00 120.00
Atoms (fractional coordinates):
Sr  0.000  0.000  0.000
Sr  0.667  0.333  0.321
Sr  0.667  0.333  0.679
Be  0.000  0.000  0.500

Main lines, by angle (2θ from 5° to 70°):
23.84°, I 56
24.32°, I 59
25.61°, I 82
29.15°, I 100
34.32°, I 46
49.58°, I 46

***

Record 5
# Sr4BeW
Computed powder diffraction line list, Cu Ka. Input: a crystal structure in Alexandria, relaxed with GGA-PBE.
Kinematic intensities with the Lorentz-polarization factor, no thermal factor.

Cell and atoms:
a b c (Å): 6.744 6.744 6.744
angles (deg): 60.00 60.00 60.00
Atoms (fractional coordinates):
Sr  0.125  0.125  0.125
Sr  0.125  0.125  0.626
Sr  0.125  0.626  0.125
Sr  0.626  0.125  0.125
Be  0.500  0.500  0.500
W  0.750  0.750  0.750

Main lines, by angle (2θ from 5° to 70°):
16.10°, I 25
26.43°, I 24
31.10°, I 100
32.52°, I 42
49.67°, I 36
54.42°, I 27

***

Record 6
# SrBeZn
Computed powder diffraction line list, Cu Ka. Input: a crystal structure in Alexandria, relaxed with GGA-PBE.
Kinematic intensities with the Lorentz-polarization factor, no thermal factor.

Cell and atoms:
a b c (Å): 4.243 4.243 4.478
angles (deg): 90.00 90.00 120.00
Atoms (fractional coordinates):
Sr  0.000  0.000  0.000
Be  0.333  0.667  0.500
Zn  0.667  0.333  0.500

Main lines, by angle (2θ from 5° to 70°):
24.22°, I 28
31.49°, I 100
40.28°, I 12
42.61°, I 30
53.94°, I 21
60.08°, I 21

***

Record 7
# TaBe12
Computed powder diffraction line list, Cu Ka. Input: a crystal structure in Alexandria, relaxed with GGA-PBE.
Kinematic intensities with the Lorentz-polarization factor, no thermal factor.

Cell and atoms:
a b c (Å): 5.576 5.576 5.576
angles (deg): 98.18 98.18 135.67
Atoms (fractional coordinates):
Ta  0.000  0.000  0.000
Be  0.000  0.000  0.500
Be  0.000  0.353  0.353
Be  0.000  0.500  0.000
Be  0.000  0.647  0.647
Be  0.283  0.500  0.783
Be  0.353  0.000  0.353
Be  0.500  0.000  0.000
Be  0.500  0.283  0.783
Be  0.500  0.500  0.500
Be  0.500  0.717  0.217
Be  0.647  0.000  0.647
Be  0.717  0.500  0.217

Main lines, by angle (2θ from 5° to 70°):
17.17°, I 77
24.40°, I 100
34.77°, I 76
39.00°, I 23
42.94°, I 27
49.99°, I 54

***

Record 8
# Ta3Be2
Computed powder diffraction line list, Cu Ka. Input: a crystal structure in Alexandria, relaxed with GGA-PBE.
Kinematic intensities with the Lorentz-polarization factor, no thermal factor.

Cell and atoms:
a b c (Å): 6.505 6.505 3.361
angles (deg): 90.00 90.00 90.00
Atoms (fractional coordinates):
Ta  0.000  0.000  0.000
Ta  0.179  0.321  0.500
Ta  0.321  0.821  0.500
Ta  0.500  0.500  0.000
Ta  0.679  0.179  0.500
Ta  0.821  0.679  0.500
Be  0.114  0.614  0.000
Be  0.386  0.114  0.000
Be  0.614  0.886  0.000
Be  0.886  0.386  0.000

Main lines, by angle (2θ from 5° to 70°):
30.73°, I 65
33.01°, I 52
38.52°, I 100
41.03°, I 68
44.02°, I 47
67.10°, I 32

***

Record 9
# Ta2Be3
Computed powder diffraction line list, Cu Ka. Input: a crystal structure in Alexandria, relaxed with GGA-PBE.
Kinematic intensities with the Lorentz-polarization factor, no thermal factor.

Cell and atoms:
a b c (Å): 11.097 11.097 3.588
angles (deg): 90.00 90.00 163.97
Atoms (fractional coordinates):
Ta  0.072  0.928  0.750
Ta  0.210  0.790  0.250
Ta  0.790  0.210  0.750
Ta  0.928  0.072  0.250
Be  0.332  0.668  0.250
Be  0.383  0.617  0.750
Be  0.477  0.523  0.750
Be  0.523  0.477  0.250
Be  0.617  0.383  0.250
Be  0.668  0.332  0.750

Main lines, by angle (2θ from 5° to 70°):
29.15°, I 39
29.74°, I 100
40.42°, I 86
40.95°, I 56
60.94°, I 30
67.30°, I 27

***

Record 10
# Ta4Be5
Computed powder diffraction line list, Cu Ka. Input: a crystal structure in Alexandria, relaxed with GGA-PBE.
Kinematic intensities with the Lorentz-polarization factor, no thermal factor.

Cell and atoms:
a b c (Å): 7.317 7.317 5.045
angles (deg): 90.00 90.00 120.00
Atoms (fractional coordinates):
Ta  0.000  0.000  0.000
Ta  0.000  0.000  0.500
Ta  0.000  0.363  0.250
Ta  0.000  0.637  0.750
Ta  0.363  0.000  0.250
Ta  0.363  0.363  0.750
Ta  0.637  0.000  0.750
Ta  0.637  0.637  0.250
Be  0.000  0.310  0.750
Be  0.000  0.690  0.250
Be  0.310  0.000  0.750
Be  0.310  0.310  0.250
Be  0.333  0.667  0.000
Be  0.333  0.667  0.500
Be  0.667  0.333  0.000
Be  0.667  0.333  0.500
Be  0.690  0.000  0.250
Be  0.690  0.690  0.750

Main lines, by angle (2θ from 5° to 70°):
13.97°, I 23
28.16°, I 28
30.17°, I 100
42.81°, I 50
43.58°, I 42
53.27°, I 17

***

Record 11
# TaBe5Tc
Computed powder diffraction line list, Cu Ka. Input: a crystal structure in Alexandria, relaxed with GGA-PBE.
Kinematic intensities with the Lorentz-polarization factor, no thermal factor.

Cell and atoms:
a b c (Å): 7.239 4.357 9.061
angles (deg): 90.00 90.00 90.00
Atoms (fractional coordinates):
Ta  0.248  0.250  0.075
Ta  0.252  0.750  0.575
Ta  0.748  0.250  0.425
Ta  0.752  0.750  0.925
Be  0.056  0.750  0.124
Be  0.074  0.008  0.319
Be  0.074  0.492  0.319
Be  0.085  0.250  0.519
Be  0.185  0.250  0.753
Be  0.315  0.750  0.253
Be  0.415  0.750  0.019
Be  0.426  0.508  0.819
Be  0.426  0.992  0.819
Be  0.444  0.250  0.624
Be  0.556  0.750  0.376
Be  0.574  0.008  0.181
Be  0.574  0.492  0.181
Be  0.585  0.250  0.981
Be  0.685  0.250  0.747
Be  0.815  0.750  0.247
Be  0.915  0.750  0.481
Be  0.926  0.508  0.681
Be  0.926  0.992  0.681
Be  0.944  0.250  0.876
Tc  0.117  0.750  0.882
Tc  0.383  0.250  0.382
Tc  0.617  0.750  0.618
Tc  0.883  0.250  0.118

Main lines, by angle (2θ from 5° to 70°):
22.65°, I 96
25.81°, I 78
36.19°, I 100
42.44°, I 51
44.05°, I 92
44.25°, I 54

***

Record 12
# TaBe17Tc
Computed powder diffraction line list, Cu Ka. Input: a crystal structure in Alexandria, relaxed with GGA-PBE.
Kinematic intensities with the Lorentz-polarization factor, no thermal factor.

Cell and atoms:
a b c (Å): 5.508 5.508 5.508
angles (deg): 83.07 83.07 83.07
Atoms (fractional coordinates):
Ta  0.000  0.000  0.000
Be  0.037  0.344  0.636
Be  0.037  0.636  0.344
Be  0.188  0.687  0.687
Be  0.242  0.242  0.242
Be  0.334  0.334  0.844
Be  0.334  0.844  0.334
Be  0.344  0.037  0.636
Be  0.344  0.636  0.037
Be  0.441  0.441  0.441
Be  0.506  0.988  0.988
Be  0.636  0.037  0.344
Be  0.636  0.344  0.037
Be  0.687  0.188  0.687
Be  0.687  0.687  0.188
Be  0.844  0.334  0.334
Be  0.988  0.506  0.988
Be  0.988  0.988  0.506
Tc  0.677  0.677  0.677

Main lines, by angle (2θ from 5° to 70°):
16.31°, I 84
21.84°, I 36
24.37°, I 100
35.29°, I 91
42.89°, I 32
50.36°, I 45

***

Record 13
# TaTi2Be9
Computed powder diffraction line list, Cu Ka. Input: a crystal structure in Alexandria, relaxed with GGA-PBE.
Kinematic intensities with the Lorentz-polarization factor, no thermal factor.

Cell and atoms:
a b c (Å): 7.482 7.482 7.482
angles (deg): 34.90 34.90 34.90
Atoms (fractional coordinates):
Ta  0.000  0.000  0.000
Ti  0.141  0.141  0.141
Ti  0.859  0.859  0.859
Be  0.078  0.582  0.582
Be  0.334  0.334  0.334
Be  0.418  0.418  0.922
Be  0.418  0.922  0.418
Be  0.500  0.500  0.500
Be  0.582  0.078  0.582
Be  0.582  0.582  0.078
Be  0.666  0.666  0.666
Be  0.922  0.418  0.418

Main lines, by angle (2θ from 5° to 70°):
23.28°, I 100
24.42°, I 44
37.82°, I 46
40.20°, I 41
41.43°, I 31
48.14°, I 42